Record 1
For AcCe6Tl6, a structure optimized by DFT (PBE) gives the simulated XRD peak list in this record (Cu Kα, 1.54184 Å).

Principal peaks in the range 10 to 80 degrees two-theta, sorted by position:
2θ 27.09, d = 3.292 Å, rel. 60
2θ 29.21, d = 3.057 Å, rel. 100
2θ 31.58, d = 2.833 Å, rel. 83
2θ 32.18, d = 2.781 Å, rel. 43
2θ 33.09, d = 2.707 Å, rel. 44
2θ 33.49, d = 2.676 Å, rel. 42
2θ 34.58, d = 2.594 Å, rel. 42
2θ 36.50, d = 2.462 Å, rel. 34
2θ 36.93, d = 2.434 Å, rel. 60
2θ 57.01, d = 1.616 Å, rel. 31

Structural model:
Unit cell a=6.6103 b=6.6103 c=11.1249 alpha=90.00 beta=90.00 gamma=125.01
Fractional positions:
Ac 0.0000 0.0000 0.0000
Ce 0.0000 0.5000 0.2603
Ce 0.0000 0.5000 0.7397
Ce 0.5000 0.0000 0.2603
Ce 0.5000 0.0000 0.7397
Ce 0.5000 0.5000 0.2230
Ce 0.5000 0.5000 0.7770
Tl 0.0000 0.0000 0.3383
Tl 0.0000 0.0000 0.6617
Tl 0.3144 0.6856 0.0000
Tl 0.3669 0.6331 0.5000
Tl 0.6331 0.3669 0.5000
Tl 0.6856 0.3144 0.0000

***

Record 2
For Pr8DyEr3, a structure optimized by DFT (PBE) gives the simulated XRD peak list in this record (Cu Kα, 1.54184 Å).

Principal peaks in the range 10 to 80 degrees two-theta, sorted by position:
2θ 29.64, d = 3.014 Å, rel. 59
2θ 31.65, d = 2.827 Å, rel. 100
2θ 42.41, d = 2.131 Å, rel. 22
2θ 48.18, d = 1.889 Å, rel. 8
2θ 53.83, d = 1.703 Å, rel. 33
2θ 53.98, d = 1.699 Å, rel. 10
2θ 57.55, d = 1.602 Å, rel. 14
2θ 66.00, d = 1.415 Å, rel. 6
2θ 66.20, d = 1.412 Å, rel. 5
2θ 69.77, d = 1.348 Å, rel. 10

Structural model:
Unit cell a=6.9994 b=6.9994 c=9.9235 alpha=97.18 beta=97.18 gamma=119.07
Fractional positions:
Pr 0.1810 0.6838 0.6661
Pr 0.1818 0.1818 0.1643
Pr 0.3162 0.8190 0.3339
Pr 0.3188 0.3188 0.8331
Pr 0.6812 0.6812 0.1669
Pr 0.6838 0.1810 0.6661
Pr 0.8182 0.8182 0.8357
Pr 0.8190 0.3162 0.3339
Dy 0.5000 0.5000 0.5000
Er 0.0000 0.0000 0.5000
Er 0.0000 0.5000 0.0000
Er 0.5000 0.0000 0.0000